Simulated powder diffraction line list
Compound: LiCu2P
Radiation: a wavelength of 1.5418 Å
Structure: a structure optimized by DFT (PBE)
Kinematic intensities with the Lorentz-polarization factor, no thermal factor.

Largest 10 diffraction maxima, sorted by position, 2θ = 5–70°:
11.83°, d = 7.482 Å, I 100
23.78°, d = 3.741 Å, I 10
35.19°, d = 2.550 Å, I 68
44.68°, d = 2.028 Å, I 43
45.04°, d = 2.013 Å, I 68
46.74°, d = 1.944 Å, I 20
55.77°, d = 1.648 Å, I 12
58.41°, d = 1.580 Å, I 14
65.31°, d = 1.429 Å, I 13
68.48°, d = 1.370 Å, I 8

Structural model:
abc: 4.025 4.025 7.482
angles: 90.00 90.00 120.00
Element x y z (fractional)
Li 0.333 0.667 0.408
Li 0.667 0.333 0.592
Cu 0.000 0.000 0.226
Cu 0.000 0.000 0.774
Cu 0.333 0.667 0.065
Cu 0.667 0.333 0.935
P 0.333 0.667 0.751
P 0.667 0.333 0.249

---

Simulated powder diffraction line list
Compound: LiCu2P2
Radiation: a wavelength of 1.5418 Å
Structure: a structure optimized by DFT (PBE)
Kinematic intensities with the Lorentz-polarization factor, no thermal factor.

Largest 10 diffraction maxima, sorted by position, 2θ = 5–70°:
18.62°, d = 4.766 Å, I 90
24.75°, d = 3.597 Å, I 23
32.60°, d = 2.747 Å, I 15
37.80°, d = 2.380 Å, I 100
46.78°, d = 1.942 Å, I 43
50.73°, d = 1.800 Å, I 84
53.59°, d = 1.710 Å, I 9
58.06°, d = 1.589 Å, I 7
68.19°, d = 1.375 Å, I 8
68.30°, d = 1.373 Å, I 13

Structural model:
abc: 5.501 5.501 5.501
angles: 138.65 138.65 59.90
Element x y z (fractional)
Li 0.000 0.000 0.000
Cu 0.250 0.750 0.500
Cu 0.750 0.250 0.500
P 0.387 0.387 0.000
P 0.613 0.613 0.000

---

Simulated powder diffraction line list
Compound: Li2CuP
Radiation: a wavelength of 1.5418 Å
Structure: a structure optimized by DFT (PBE)
Kinematic intensities with the Lorentz-polarization factor, no thermal factor.

Largest 10 diffraction maxima, sorted by position, 2θ = 5–70°:
23.05°, d = 3.858 Å, I 100
25.54°, d = 3.488 Å, I 58
28.08°, d = 3.178 Å, I 20
34.67°, d = 2.587 Å, I 72
43.73°, d = 2.070 Å, I 14
45.02°, d = 2.014 Å, I 63
51.17°, d = 1.785 Å, I 62
54.35°, d = 1.688 Å, I 19
58.04°, d = 1.589 Å, I 15
67.21°, d = 1.393 Å, I 26

Structural model:
abc: 4.027 4.027 7.716
angles: 90.00 90.00 120.00
Element x y z (fractional)
Li 0.333 0.667 0.084
Li 0.333 0.667 0.416
Li 0.667 0.333 0.584
Li 0.667 0.333 0.916
Cu 0.000 0.000 0.250
Cu 0.000 0.000 0.750
P 0.333 0.667 0.750
P 0.667 0.333 0.250

---

Simulated powder diffraction line list
Compound: LiSmCu2P2
Radiation: a wavelength of 1.5418 Å
Structure: a structure optimized by DFT (PBE)
Kinematic intensities with the Lorentz-polarization factor, no thermal factor.

Largest 10 diffraction maxima, sorted by position, 2θ = 5–70°:
13.28°, d = 6.666 Å, I 10
28.98°, d = 3.081 Å, I 100
37.39°, d = 2.405 Å, I 76
40.60°, d = 2.222 Å, I 17
45.20°, d = 2.006 Å, I 50
48.64°, d = 1.872 Å, I 6
54.59°, d = 1.681 Å, I 17
60.05°, d = 1.541 Å, I 18
61.74°, d = 1.503 Å, I 11
62.36°, d = 1.489 Å, I 27

Structural model:
abc: 4.012 4.012 6.666
angles: 90.00 90.00 120.00
Element x y z (fractional)
Li 0.000 0.000 0.000
Sm 0.000 0.000 0.500
Cu 0.333 0.667 0.841
Cu 0.667 0.333 0.159
P 0.333 0.667 0.233
P 0.667 0.333 0.767